Record 1
This entry pairs a crystal structure of LaPrHg2 with its simulated powder XRD pattern. Radiation: λ = 1.5418 Å (Cu Kα). Structure: a cell relaxed with PBE.
Neutral-atom scattering factors, no anomalous dispersion.

Structural model:
```
data_LaPrHg2
_cell_length_a 7.7899
_cell_length_b 7.7899
_cell_length_c 7.7899
_cell_angle_alpha 90.00
_cell_angle_beta 90.00
_cell_angle_gamma 90.00
_symmetry_space_group_name_H-M 'F m -3 m'
_symmetry_Int_Tables_number 225
_symmetry_space_group_name_Hall '-F 4 2 3'
loop_
_atom_site_label
_atom_site_type_symbol
_atom_site_fract_x
_atom_site_fract_y
_atom_site_fract_z
La1 La 0.0000 0.0000 0.0000
Pr1 Pr 0.0000 0.0000 0.5000
Hg1 Hg 0.2500 0.2500 0.2500
```

Largest 8 diffraction maxima, in order of rising 2θ, 2θ from 10° to 90°:
h k l  2θ/deg  I/Imax
2 0 0  22.83  4
2 2 0  32.51  100
4 0 0  46.64  19
4 2 0  52.54  2
4 2 2  58.00  39
4 4 0  68.09  12
6 2 0  77.50  17
4 4 4  86.57  4

***

Record 2
This entry pairs a crystal structure of La2SnHg with its simulated powder XRD pattern. Radiation: λ = 1.5418 Å (Cu Kα). Structure: a cell relaxed with PBE.
Neutral-atom scattering factors, no anomalous dispersion.

Structural model:
```
data_La2SnHg
_cell_length_a 7.8718
_cell_length_b 7.8718
_cell_length_c 7.8718
_cell_angle_alpha 90.00
_cell_angle_beta 90.00
_cell_angle_gamma 90.00
_symmetry_space_group_name_H-M 'F m -3 m'
_symmetry_Int_Tables_number 225
_symmetry_space_group_name_Hall '-F 4 2 3'
loop_
_atom_site_label
_atom_site_type_symbol
_atom_site_fract_x
_atom_site_fract_y
_atom_site_fract_z
La1 La 0.2500 0.2500 0.2500
Sn1 Sn 0.0000 0.0000 0.0000
Hg1 Hg 0.0000 0.0000 0.5000
```

Largest 8 diffraction maxima, in order of rising 2θ, 2θ from 10° to 90°:
h k l  2θ/deg  I/Imax
1 1 1  19.53  4
2 2 0  32.16  100
3 1 1  37.91  2
4 0 0  46.13  19
4 2 2  57.34  39
4 4 0  67.28  12
6 2 0  76.54  17
4 4 4  85.45  4

***

Record 3
This entry pairs a crystal structure of LaTlHg2 with its simulated powder XRD pattern. Radiation: λ = 1.5418 Å (Cu Kα). Structure: a cell relaxed with PBE.
Neutral-atom scattering factors, no anomalous dispersion.

Structural model:
```
data_LaTlHg2
_cell_length_a 7.6006
_cell_length_b 7.6006
_cell_length_c 7.6006
_cell_angle_alpha 90.00
_cell_angle_beta 90.00
_cell_angle_gamma 90.00
_symmetry_space_group_name_H-M 'F m -3 m'
_symmetry_Int_Tables_number 225
_symmetry_space_group_name_Hall '-F 4 2 3'
loop_
_atom_site_label
_atom_site_type_symbol
_atom_site_fract_x
_atom_site_fract_y
_atom_site_fract_z
La1 La 0.0000 0.0000 0.0000
Tl1 Tl 0.0000 0.0000 0.5000
Hg1 Hg 0.2500 0.2500 0.2500
```

Largest 8 diffraction maxima, in order of rising 2θ, 2θ from 10° to 90°:
h k l  2θ/deg  I/Imax
1 1 1  20.24  2
2 2 0  33.34  100
3 1 1  39.32  1
4 0 0  47.87  18
4 2 2  59.59  39
4 4 0  70.03  12
6 2 0  79.81  17
4 4 4  89.29  4

***

Record 4
This entry pairs a crystal structure of LiHg with its simulated powder XRD pattern. Radiation: λ = 1.5418 Å (Cu Kα). Structure: a cell relaxed with PBE.
Neutral-atom scattering factors, no anomalous dispersion.

Structural model:
```
data_LiHg
_cell_length_a 3.3448
_cell_length_b 3.3448
_cell_length_c 3.3448
_cell_angle_alpha 90.00
_cell_angle_beta 90.00
_cell_angle_gamma 90.00
_symmetry_space_group_name_H-M 'P m -3 m'
_symmetry_Int_Tables_number 221
_symmetry_space_group_name_Hall '-P 4 2 3'
loop_
_atom_site_label
_atom_site_type_symbol
_atom_site_fract_x
_atom_site_fract_y
_atom_site_fract_z
Li1 Li 0.0000 0.0000 0.0000
Hg1 Hg 0.5000 0.5000 0.5000
```

Largest 8 diffraction maxima, in order of rising 2θ, 2θ from 10° to 90°:
h k l  2θ/deg  I/Imax
1 0 0  26.65  100
1 1 0  38.05  89
1 1 1  47.06  30
2 0 0  54.90  16
2 1 0  62.04  39
2 1 1  68.74  32
2 2 0  81.37  10
3 0 0  87.49  21

***

Record 5
This entry pairs a crystal structure of LiLuHg2 with its simulated powder XRD pattern. Radiation: λ = 1.5418 Å (Cu Kα). Structure: a cell relaxed with PBE.
Neutral-atom scattering factors, no anomalous dispersion.

Structural model:
```
data_LiLuHg2
_cell_length_a 7.0224
_cell_length_b 7.0224
_cell_length_c 7.0224
_cell_angle_alpha 90.00
_cell_angle_beta 90.00
_cell_angle_gamma 90.00
_symmetry_space_group_name_H-M 'F m -3 m'
_symmetry_Int_Tables_number 225
_symmetry_space_group_name_Hall '-F 4 2 3'
loop_
_atom_site_label
_atom_site_type_symbol
_atom_site_fract_x
_atom_site_fract_y
_atom_site_fract_z
Li1 Li 0.0000 0.0000 0.0000
Lu1 Lu 0.0000 0.0000 0.5000
Hg1 Hg 0.2500 0.2500 0.2500
```

Largest 8 diffraction maxima, in order of rising 2θ, 2θ from 10° to 90°:
h k l  2θ/deg  I/Imax
1 1 1  21.92  20
2 0 0  25.37  18
2 2 0  36.18  100
3 1 1  42.70  11
4 0 0  52.10  18
4 2 2  65.07  37
4 4 0  76.78  12
6 2 0  87.94  17

***

Record 6
This entry pairs a crystal structure of Li2MgHg with its simulated powder XRD pattern. Radiation: λ = 1.5418 Å (Cu Kα). Structure: a cell relaxed with PBE.
Neutral-atom scattering factors, no anomalous dispersion.

Structural model:
```
data_Li2MgHg
_cell_length_a 6.7291
_cell_length_b 6.7291
_cell_length_c 6.7291
_cell_angle_alpha 90.00
_cell_angle_beta 90.00
_cell_angle_gamma 90.00
_symmetry_space_group_name_H-M 'F -4 3 m'
_symmetry_Int_Tables_number 216
_symmetry_space_group_name_Hall 'F -4 2 3'
loop_
_atom_site_label
_atom_site_type_symbol
_atom_site_fract_x
_atom_site_fract_y
_atom_site_fract_z
Li1 Li 0.0000 0.0000 0.0000
Li2 Li 0.2500 0.2500 0.2500
Mg1 Mg 0.0000 0.0000 0.5000
Hg1 Hg 0.2500 0.2500 0.7500
```

Largest 8 diffraction maxima, in order of rising 2θ, 2θ from 10° to 90°:
h k l  2θ/deg  I/Imax
1 1 1  22.89  100
2 0 0  26.49  42
2 2 0  37.81  62
3 1 1  44.66  54
3 3 1  59.92  23
4 2 2  68.29  22
5 1 1  73.07  17
5 3 1  85.34  18

***

Record 7
This entry pairs a crystal structure of Li2MgHg with its simulated powder XRD pattern. Radiation: λ = 1.5418 Å (Cu Kα). Structure: a cell relaxed with PBE.
Neutral-atom scattering factors, no anomalous dispersion.

Structural model:
```
data_Li2MgHg
_cell_length_a 6.6203
_cell_length_b 6.6203
_cell_length_c 6.6203
_cell_angle_alpha 90.00
_cell_angle_beta 90.00
_cell_angle_gamma 90.00
_symmetry_space_group_name_H-M 'F m -3 m'
_symmetry_Int_Tables_number 225
_symmetry_space_group_name_Hall '-F 4 2 3'
loop_
_atom_site_label
_atom_site_type_symbol
_atom_site_fract_x
_atom_site_fract_y
_atom_site_fract_z
Li1 Li 0.2500 0.2500 0.2500
Mg1 Mg 0.0000 0.0000 0.0000
Hg1 Hg 0.0000 0.0000 0.5000
```

Largest 8 diffraction maxima, in order of rising 2θ, 2θ from 10° to 90°:
h k l  2θ/deg  I/Imax
1 1 1  23.27  100
2 0 0  26.94  82
2 2 0  38.46  78
3 1 1  45.44  54
2 2 2  47.58  24
3 3 1  61.01  23
4 2 0  62.77  31
4 2 2  69.57  28